CaMn6O5F7: calculated powder XRD pattern (Cu Kα (weighted mean of Kα1 and Kα2)), based on a crystal structure in Alexandria, relaxed with PBE+U.
Intensities are scaled so that the largest is 100.

```
data_CaMn6O5F7
_space_group_name_H-M_alt 'P 1'
_space_group_IT_number 1
_space_group_name_Hall 'P 1'
_cell_length_a 6.0014
_cell_length_b 6.5966
_cell_length_c 7.2254
_cell_angle_alpha 73.47
_cell_angle_beta 73.74
_cell_angle_gamma 86.99
loop_
_atom_site_label
_atom_site_type_symbol
_atom_site_fract_x
_atom_site_fract_y
_atom_site_fract_z
_atom_site_occupancy
Ca1 Ca 0.0000 0.0000 0.0000 1
Mn1 Mn 0.4116 0.7574 0.1953 1
Mn2 Mn 0.4281 0.7832 0.6674 1
Mn3 Mn 0.5803 0.2786 0.8516 1
Mn4 Mn 0.6040 0.2111 0.3502 1
Mn5 Mn 0.9612 0.5100 0.5022 1
Mn6 Mn 0.9931 0.5029 0.0167 1
O1 O 0.2553 0.7238 0.9563 1
O2 O 0.4976 0.9225 0.3796 1
O3 O 0.6436 0.5660 0.6608 1
O4 O 0.7478 0.2763 0.0633 1
O5 O 0.8446 0.4272 0.3074 1
F1 F 0.0555 0.8236 0.3094 1
F2 F 0.1055 0.5823 0.7088 1
F3 F 0.2419 0.2351 0.0201 1
F4 F 0.3211 0.4421 0.3626 1
F5 F 0.4811 0.1123 0.6606 1
F6 F 0.7381 0.7762 0.9938 1
F7 F 0.9221 0.1902 0.7047 1
```

Main lines, sorted by position (2θ from 5° to 70°):
hkl	2theta	intensity
1 -1 0	20.55	79
1 1 2	26.96	100
1 -2 0	31.89	41
1 2 0	32.72	43
0 1 -2	33.75	37
1 0 -2	34.66	48